Record 1
# NaTl2MoO4
Calculated powder diffraction line list, Cu Kα (λ = 1.5418 Å). Input: a crystal structure in Alexandria, relaxed with GGA+U.

Atomic structure:
```
data_NaTl2MoO4
_chemical_formula_sum 'Na1 Tl2 Mo1 O4'
_cell_length_a 6.091
_cell_length_b 6.129
_cell_length_c 6.358
_cell_angle_alpha 116.63
_cell_angle_beta 114.99
_cell_angle_gamma 94.47
_symmetry_space_group_name_H-M 'P 1'
_symmetry_Int_Tables_number 1
loop_
_symmetry_equiv_pos_as_xyz
'x,y,z'
loop_
_atom_site_label
_atom_site_fract_x
_atom_site_fract_y
_atom_site_fract_z
_atom_site_occupancy
Na1 0.000 0.000 0.000 1
Tl1 0.567 0.708 0.115 1
Tl2 0.636 0.295 0.598 1
Mo1 0.244 0.738 0.512 1
O1 0.062 0.700 0.661 1
O2 0.102 0.891 0.327 1
O3 0.247 0.429 0.283 1
O4 0.569 0.943 0.785 1
```

Peak list (8 most intense, 2θ from 5° to 70°, in order of rising 2θ)
d/Å, Rel. int., index
5.201, 100, 1 0 0
4.148, 54, 1 1 -1
3.335, 65, 1 -1 1
3.269, 51, -1 1 1
2.838, 27, 1 0 -2
2.680, 26, -2 1 1
2.589, 42, 0 2 -2
2.560, 25, 2 1 -1


Record 2
# Na5YMo4O16
Calculated powder diffraction line list, Cu Kα (λ = 1.5418 Å). Input: a crystal structure in Alexandria, relaxed with GGA+U.

Atomic structure:
```
data_Na5YMo4O16
_chemical_formula_sum 'Na20 Y4 Mo16 O64'
_cell_length_a 11.581
_cell_length_b 11.581
_cell_length_c 11.552
_cell_angle_alpha 90.00
_cell_angle_beta 90.00
_cell_angle_gamma 90.00
_symmetry_space_group_name_H-M 'I 41/a'
_symmetry_Int_Tables_number 88
loop_
_symmetry_equiv_pos_as_xyz
'x,y,z'
'-x,-y,-z'
'-y+3/4,x+1/4,z+1/4'
'y+3/4,-x+1/4,-z+1/4'
'-x+1/2,-y,z+1/2'
'x+1/2,y,-z+1/2'
'y+3/4,-x+3/4,z+3/4'
'-y+3/4,x+3/4,-z+3/4'
'x+1/2,y+1/2,z+1/2'
'-x+1/2,-y+1/2,-z+1/2'
'-y+1/4,x+3/4,z+3/4'
'y+1/4,-x+3/4,-z+3/4'
'-x,-y+1/2,z'
'x,y+1/2,-z'
'y+1/4,-x+1/4,z+1/4'
'-y+1/4,x+1/4,-z+1/4'
loop_
_atom_site_label
_atom_site_fract_x
_atom_site_fract_y
_atom_site_fract_z
_atom_site_occupancy
Na1 0.000 0.250 0.125 1
Na2 0.121 0.454 0.843 1
Y1 0.000 0.250 0.625 1
Mo1 0.094 0.431 0.362 1
O1 0.030 0.102 0.273 1
O2 0.061 0.140 0.789 1
O3 0.083 0.071 0.564 1
O4 0.177 0.033 0.980 1
```

Peak list (8 most intense, 2θ from 5° to 70°, in order of rising 2θ)
d/Å, Rel. int., index
8.179, 27, 1 0 1
4.726, 37, 1 2 1
3.659, 20, 3 0 1
3.093, 100, 3 1 2
2.589, 13, 2 4 0
2.269, 10, 5 0 1
1.928, 23, 2 4 4
1.576, 18, 1 7 2


Record 3
# NaZn2Mo2O10
Calculated powder diffraction line list, Cu Kα (λ = 1.5418 Å). Input: a crystal structure in Alexandria, relaxed with GGA+U.

Atomic structure:
```
data_NaZn2Mo2O10
_chemical_formula_sum 'Na2 Zn4 Mo4 O20'
_cell_length_a 9.172
_cell_length_b 6.450
_cell_length_c 7.891
_cell_angle_alpha 90.00
_cell_angle_beta 113.85
_cell_angle_gamma 90.00
_symmetry_space_group_name_H-M 'C 1 2/m 1'
_symmetry_Int_Tables_number 12
loop_
_symmetry_equiv_pos_as_xyz
'x,y,z'
'-x,-y,-z'
'-x,y,-z'
'x,-y,z'
'x+1/2,y+1/2,z'
'-x+1/2,-y+1/2,-z'
'-x+1/2,y+1/2,-z'
'x+1/2,-y+1/2,z'
loop_
_atom_site_label
_atom_site_fract_x
_atom_site_fract_y
_atom_site_fract_z
_atom_site_occupancy
Na1 0.000 0.000 0.000 1
Zn1 0.250 0.250 0.500 1
Mo1 0.072 0.500 0.774 1
O1 0.049 0.273 0.245 1
O2 0.129 0.000 0.554 1
O3 0.163 0.500 0.601 1
O4 0.228 0.500 0.993 1
```

Peak list (8 most intense, 2θ from 5° to 70°, in order of rising 2θ)
d/Å, Rel. int., index
7.217, 52, 0 0 1
5.113, 100, 1 1 0
3.531, 83, 2 0 -2
3.365, 72, 1 1 -2
3.120, 55, 2 0 1
2.762, 33, 3 1 -1
2.622, 81, 2 2 -1
1.725, 43, 4 2 -3